Starting from a DFT-relaxed cell (GGA-PBE, OQMD), the PXRD pattern of GdEr2Tm was calculated for Cu Kα.
Lines closer than 0.1° are merged.

```
8
Lattice="3.572 -6.187 0.000 3.572 6.187 0.000 0.000 0.000 5.587" Properties=species:S:1:pos:R:3 pbc="T T T"
Gd 3.572 4.124 4.191
Gd 3.572 -4.124 1.397
Er 1.796 1.026 4.191
Er 1.796 -1.026 1.397
Er 5.347 1.026 4.191
Er 5.347 -1.026 1.397
Tm 3.572 2.051 1.397
Tm 3.572 -2.051 4.191
```

Main lines, low angle first (10° ≤ 2θ ≤ 90°):
2θ = 28.9°, 3.093 Å, intensity 24; 2θ = 32.0°, 2.794 Å, intensity 24; 2θ = 33.1°, 2.706 Å, intensity 100; 2θ = 43.7°, 2.073 Å, intensity 16; 2θ = 51.1°, 1.786 Å, intensity 20; 2θ = 57.8°, 1.596 Å, intensity 21; 2θ = 61.6°, 1.505 Å, intensity 23; 2θ = 62.3°, 1.491 Å, intensity 16; 2θ = 69.5°, 1.353 Å, intensity 4; 2θ = 80.8°, 1.190 Å, intensity 8; 2θ = 84.7°, 1.144 Å, intensity 14; 2θ = 89.0°, 1.100 Å, intensity 9

Starting from a DFT-relaxed cell (GGA-PBE, OQMD), the PXRD pattern of Cs2TePdS was calculated for Cu Kα.
Lines closer than 0.1° are merged.

```
5
Lattice="-1.968 5.552 3.994 1.968 -5.552 3.994 1.968 5.552 -3.994" Properties=species:S:1:pos:R:3 pbc="T T T"
Cs 0.000 2.102 0.000
Cs 0.000 9.001 0.000
Te 0.000 5.552 1.390
Pd 0.000 0.000 3.619
S 1.968 0.000 2.129
```

Main lines, low angle first (10° ≤ 2θ ≤ 90°):
2θ = 13.7°, 6.484 Å, intensity 19; 2θ = 22.3°, 3.994 Å, intensity 29; 2θ = 25.2°, 3.530 Å, intensity 41; 2θ = 26.5°, 3.358 Å, intensity 100; 2θ = 27.5°, 3.242 Å, intensity 24; 2θ = 30.0°, 2.979 Å, intensity 58; 2θ = 33.0°, 2.718 Å, intensity 76; 2θ = 33.2°, 2.696 Å, intensity 28; 2θ = 44.2°, 2.050 Å, intensity 49; 2θ = 46.1°, 1.968 Å, intensity 18; 2θ = 52.6°, 1.741 Å, intensity 39; 2θ = 54.0°, 1.698 Å, intensity 27